Starting from a GGA-PBE-relaxed structure, the powder X-ray diffraction pattern of SnSb2As2F18 was computed for Cu Kα.
No peak broadening, texture or thermal motion is included.

Cell and atoms:
a b c (Å): 6.185 11.698 11.318
angles (deg): 90.00 90.31 90.00
Space group Pc (No. 7)
One atom of each set of equivalent atoms:
Sn: 0.000 0.132 0.000
Sb: 0.511 0.032 0.731
Sb: 0.511 0.387 0.032
As: 0.092 0.254 0.373
As: 0.885 0.365 0.712
F: 0.035 0.118 0.434
F: 0.036 0.207 0.224
F: 0.054 0.477 0.760
F: 0.078 0.300 0.618
F: 0.271 0.085 0.825
F: 0.276 0.276 0.023
F: 0.316 0.010 0.105
F: 0.317 0.489 0.514
F: 0.482 0.117 0.298
F: 0.483 0.387 0.199
F: 0.541 0.375 0.865
F: 0.549 0.180 0.667
F: 0.704 0.254 0.047
F: 0.708 0.070 0.860
F: 0.755 0.018 0.138
F: 0.763 0.482 0.041
F: 0.830 0.308 0.393
F: 0.966 0.273 0.836

The 12 most intense peaks (5 to 70 degrees two-theta), by angle:
h k l  2θ/deg  I (rel.)
0 1 1  10.9  36
1 1 1  18.0  16
1 2 0  20.9  37
1 2 1  22.4  100
1 1 -2  22.6  59
1 1 2  22.7  55
0 3 1  24.1  26
0 1 3  24.8  35
1 3 0  27.0  15
2 0 0  28.9  23
0 0 4  31.6  15
1 2 -5  45.3  13

Starting from a GGA-PBE-relaxed structure, the powder X-ray diffraction pattern of SnAsF7 was computed for Cu Kα.
No peak broadening, texture or thermal motion is included.

Cell and atoms:
a b c (Å): 9.3492 9.3492 17.1660
angles (deg): 90.00 90.00 120.00
Space group R32 (No. 155, hexagonal axes)
One atom of each set of equivalent atoms:
Sn: 0.0000 0.7415 0.0000
As: 0.0000 0.0000 0.2009
As: 0.0000 0.0000 0.5000
F: 0.0000 0.1793 0.0000
F: 0.0018 0.1563 0.2591
F: 0.0043 0.8462 0.8597
F: 0.0890 0.9100 0.5600

The 12 most intense peaks (5 to 70 degrees two-theta), by angle:
h k l  2θ/deg  I (rel.)
1 1 0  19.0  51
1 0 4  23.5  25
2 0 2  24.3  12
1 1 3  24.6  100
2 1 1  29.7  26
1 2 2  31.0  24
1 1 6  36.8  17
2 2 3  41.7  18
1 3 4  45.6  14
2 1 7  47.5  19
4 1 0  51.8  13
3 2 4  53.8  12